[1]
# Ta4Au3
Theoretical XRD peak list, Cu Kα, 1.54184 Å. Input: DFT lattice parameters and positions (GGA-PBE).

Cell and atoms:
```
data_Ta4Au3
_chemical_formula_sum 'Ta8 Au6'
_cell_length_a 3.4474
_cell_length_b 3.4474
_cell_length_c 21.2323
_cell_angle_alpha 90.00
_cell_angle_beta 90.00
_cell_angle_gamma 90.00
_symmetry_space_group_name_H-M 'I 4/m m m'
_symmetry_Int_Tables_number 139
_symmetry_space_group_name_Hall '-I 4 2'
loop_
_atom_site_label
_atom_site_fract_x
_atom_site_fract_y
_atom_site_fract_z
Ta1 0.0000 0.0000 0.0716
Ta2 0.0000 0.0000 0.3566
Au1 0.0000 0.0000 0.2140
Au2 0.0000 0.0000 0.5000
```

Largest 8 diffraction maxima, by intensity, 10° ≤ 2θ ≤ 90°:
hkl 1 0 7, 2.277 Å, 39.58 deg, I 100; hkl 1 1 0, 2.438 Å, 36.87 deg, I 61; hkl 2 1 7, 1.374 Å, 68.24 deg, I 41; hkl 2 0 0, 1.724 Å, 53.13 deg, I 22; hkl 1 1 14, 1.288 Å, 73.55 deg, I 17; hkl 2 0 14, 1.139 Å, 85.23 deg, I 12; hkl 0 0 14, 1.517 Å, 61.10 deg, I 7; hkl 2 2 0, 1.219 Å, 78.47 deg, I 7

***

[2]
# Cs3S
Theoretical XRD peak list, Cu Kα, 1.54184 Å. Input: DFT lattice parameters and positions (GGA-PBE).

Cell and atoms:
```
data_Cs3S
_chemical_formula_sum 'Cs6 S2'
_cell_length_a 9.3624
_cell_length_b 9.3624
_cell_length_c 8.9626
_cell_angle_alpha 90.00
_cell_angle_beta 90.00
_cell_angle_gamma 120.00
_symmetry_space_group_name_H-M 'P 63/m c m'
_symmetry_Int_Tables_number 193
_symmetry_space_group_name_Hall '-P 6c 2'
loop_
_atom_site_label
_atom_site_fract_x
_atom_site_fract_y
_atom_site_fract_z
Cs1 0.0000 0.2673 0.2500
S1 0.0000 0.0000 0.0000
```

Largest 12 diffraction maxima, by intensity, 10° ≤ 2θ ≤ 90°:
hkl 1 1 1, 4.149 Å, 21.41 deg, I 100; hkl 1 0 0, 8.108 Å, 10.91 deg, I 54; hkl 2 1 1, 2.900 Å, 30.84 deg, I 49; hkl 0 0 2, 4.481 Å, 19.81 deg, I 31; hkl 1 1 3, 2.518 Å, 35.65 deg, I 27; hkl 1 1 2, 3.237 Å, 27.55 deg, I 23; hkl 2 1 3, 2.139 Å, 42.25 deg, I 20; hkl 3 2 1, 1.821 Å, 50.08 deg, I 17; hkl 4 0 2, 1.847 Å, 49.34 deg, I 14; hkl 4 0 0, 2.027 Å, 44.71 deg, I 13; hkl 2 0 2, 3.006 Å, 29.72 deg, I 13; hkl 3 0 0, 2.703 Å, 33.15 deg, I 12

***

[3]
# Ho3Mg11
Theoretical XRD peak list, Cu Kα, 1.54184 Å. Input: DFT lattice parameters and positions (GGA-PBE).

Cell and atoms:
```
data_Ho3Mg11
_chemical_formula_sum 'Ho6 Mg22'
_cell_length_a 4.9795
_cell_length_b 11.2707
_cell_length_c 12.6075
_cell_angle_alpha 90.00
_cell_angle_beta 90.00
_cell_angle_gamma 90.00
_symmetry_space_group_name_H-M 'I m m m'
_symmetry_Int_Tables_number 71
_symmetry_space_group_name_Hall '-I 2 2'
loop_
_atom_site_label
_atom_site_fract_x
_atom_site_fract_y
_atom_site_fract_z
Ho1 0.0000 0.0000 0.0000
Ho2 0.0000 0.0000 0.2800
Mg1 0.0000 0.1538 0.5000
Mg2 0.0000 0.2726 0.1448
Mg3 0.0000 0.3727 0.3672
Mg4 0.0000 0.5000 0.0000
```

Largest 12 diffraction maxima, by intensity, 10° ≤ 2θ ≤ 90°:
hkl 1 1 0, 4.555 Å, 19.49 deg, I 100; hkl 1 2 3, 2.790 Å, 32.08 deg, I 80; hkl 0 2 0, 5.635 Å, 15.73 deg, I 76; hkl 1 1 4, 2.592 Å, 34.61 deg, I 70; hkl 1 3 0, 2.999 Å, 29.79 deg, I 62; hkl 0 2 4, 2.751 Å, 32.55 deg, I 43; hkl 2 0 0, 2.490 Å, 36.07 deg, I 39; hkl 0 3 7, 1.622 Å, 56.74 deg, I 32; hkl 0 3 3, 2.801 Å, 31.95 deg, I 27; hkl 2 2 4, 1.846 Å, 49.37 deg, I 27; hkl 1 4 7, 1.452 Å, 64.16 deg, I 25; hkl 0 4 4, 2.102 Å, 43.03 deg, I 25

***

[4]
# KCaNbBiO6
Theoretical XRD peak list, Cu Kα, 1.54184 Å. Input: DFT lattice parameters and positions (GGA-PBE).

Cell and atoms:
```
data_KCaNbBiO6
_chemical_formula_sum 'K4 Ca4 Nb4 Bi4 O24'
_cell_length_a 8.4246
_cell_length_b 8.4246
_cell_length_c 8.4246
_cell_angle_alpha 90.00
_cell_angle_beta 90.00
_cell_angle_gamma 90.00
_symmetry_space_group_name_H-M 'F -4 3 m'
_symmetry_Int_Tables_number 216
_symmetry_space_group_name_Hall 'F -4 2 3'
loop_
_atom_site_label
_atom_site_fract_x
_atom_site_fract_y
_atom_site_fract_z
K1 0.0000 0.0000 0.0000
Ca1 0.0000 0.0000 0.5000
Nb1 0.2500 0.2500 0.2500
Bi1 0.2500 0.2500 0.7500
O1 0.0125 0.2500 0.2500
```

Largest 12 diffraction maxima, by intensity, 10° ≤ 2θ ≤ 90°:
hkl 2 2 0, 2.979 Å, 30.00 deg, I 100; hkl 2 0 0, 4.212 Å, 21.09 deg, I 61; hkl 4 2 2, 1.720 Å, 53.27 deg, I 40; hkl 4 0 0, 2.106 Å, 42.94 deg, I 34; hkl 4 2 0, 1.884 Å, 48.31 deg, I 28; hkl 6 4 2, 1.126 Å, 86.44 deg, I 21; hkl 4 4 0, 1.489 Å, 62.35 deg, I 21; hkl 6 2 0, 1.332 Å, 70.73 deg, I 18; hkl 1 1 1, 4.864 Å, 18.24 deg, I 17; hkl 3 1 1, 2.540 Å, 35.34 deg, I 14; hkl 6 0 0, 1.404 Å, 66.60 deg, I 13; hkl 3 3 1, 1.933 Å, 47.02 deg, I 7